MgPa5N8: simulated PXRD pattern (Cu Kα, 1.54184 Å), based on a GGA-PBE-relaxed structure.
Kinematic intensities with the Lorentz-polarization factor, no thermal factor.

Structural model:
Cell: 7.3294 7.3294 7.1641 Å, 90.00 90.00 90.00°
Space group I-4 (No. 82)
Inequivalent atoms, fractional coordinates:
Mg (0.0000, 0.0000, 0.0000) [2 per cell]
Pa (0.0000, 0.5000, 0.2500) [2 per cell]
Pa (0.1535, 0.7538, 0.6356) [8 per cell]
N (0.0495, 0.6962, 0.9401) [8 per cell]
N (0.0707, 0.8060, 0.3342) [8 per cell]

Largest 6 diffraction maxima, low angle first, 10° ≤ 2θ ≤ 80°:
hkl 2 1 1, 2θ = 29.98°, I 100
hkl 1 1 2, 2θ = 30.33°, I 76
hkl 1 3 0, 2θ = 38.91°, I 57
hkl 3 2 1, 2θ = 46.43°, I 23
hkl 3 2 3, 2θ = 59.74°, I 23
hkl 5 1 0, 2θ = 64.91°, I 29